Computed powder XRD pattern
Compound: Sr2Ca2NdMn5O15
Radiation: λ = 1.5418 Å (Cu Kα)
Structure: a cell relaxed with GGA+U
Neutral-atom scattering factors, no anomalous dispersion.

Main lines, sorted by position (10° ≤ 2θ ≤ 90°):
d (Å)  2θ (°)  Rel. int.  h k l
2.748  32.58  32  -2 1 1
2.726  32.85  100  1 2 -3
2.717  32.96  68  1 -3 2
1.942  46.78  25  2 2 0
1.927  47.15  24  -2 4 2
1.916  47.46  23  0 2 -6
1.585  58.22  15  3 -1 2
1.579  58.46  15  -3 2 5
1.575  58.60  13  1 5 -2
1.571  58.78  20  2 1 -7
1.568  58.89  13  0 1 7
1.359  69.14  12  2 -6 4

Structure:
```
data_Sr2Ca2NdMn5O15
_symmetry_space_group_name_H-M 'P 1'
_symmetry_Int_Tables_number 1
_cell_length_a 5.4969
_cell_length_b 9.4139
_cell_length_c 12.1241
_cell_angle_alpha 97.23
_cell_angle_beta 102.99
_cell_angle_gamma 106.59
loop_
_symmetry_equiv_pos_as_xyz
'x,y,z'
loop_
_atom_site_label
_atom_site_fract_x
_atom_site_fract_y
_atom_site_fract_z
Sr1 0.0000 0.0000 0.0000
Sr2 0.1843 0.7887 0.5947
Sr3 0.5908 0.3974 0.7991
Sr4 0.7890 0.1860 0.3937
Ca1 0.0985 0.8837 0.2906
Ca2 0.3205 0.7097 0.9037
Ca3 0.4975 0.4775 0.4902
Ca4 0.7118 0.2988 0.1019
Nd1 0.4001 0.5921 0.1967
Nd2 0.8996 0.0940 0.6973
Mn1 0.0459 0.4456 0.6475
Mn2 0.1443 0.3453 0.9478
Mn3 0.2475 0.2413 0.2463
Mn4 0.3455 0.1428 0.5445
Mn5 0.4482 0.0430 0.8489
Mn6 0.5504 0.9442 0.1477
Mn7 0.6409 0.8411 0.4460
Mn8 0.7428 0.7406 0.7463
Mn9 0.8496 0.6438 0.0455
Mn10 0.9496 0.5418 0.3482
O1 0.0282 0.3822 0.7942
O2 0.0768 0.4937 0.4969
O3 0.0902 0.8987 0.7755
O4 0.1060 0.4092 0.2723
O5 0.2069 0.2866 0.6210
O6 0.2153 0.7758 0.1182
O7 0.2489 0.2073 0.4005
O8 0.2662 0.1922 0.8731
O9 0.2790 0.2993 0.0987
O10 0.2836 0.7020 0.3698
O11 0.3705 0.0705 0.2147
O12 0.3830 0.6013 0.7254
O13 0.4360 0.9858 0.9957
O14 0.4589 0.9899 0.4677
O15 0.4613 0.0902 0.6959
O16 0.4779 0.5121 0.9815
O17 0.6095 0.3839 0.3125
O18 0.6198 0.8947 0.8199
O19 0.6451 0.8092 0.6014
O20 0.6679 0.8825 0.2938
O21 0.6964 0.2883 0.5771
O22 0.7044 0.8042 0.0785
O23 0.7775 0.6742 0.4155
O24 0.7926 0.1953 0.9218
O25 0.8325 0.5965 0.1981
O26 0.8448 0.5850 0.6659
O27 0.8741 0.6880 0.8955
O28 0.8764 0.1139 0.1816
O29 0.9876 0.9955 0.5187
O30 0.9985 0.4814 0.0262
```